Calculated powder XRD pattern
Compound: Y3TeSe3
Radiation: Cu Kα (λ = 1.5418 Å)
Structure: a cell relaxed with GGA-PBE
Peak positions follow from Bragg's law for the DFT cell and can differ from measured ones.

Most intense lines, 2θ from 5° to 70°, sorted by position:
d 8.367, intensity 20
d 4.831, intensity 6
d 3.742, intensity 11
d 2.958, intensity 100
d 2.789, intensity 6
d 2.321, intensity 6
d 2.160, intensity 5
d 2.092, intensity 71
d 1.708, intensity 24
d 1.479, intensity 11

Crystal structure
abc: 10.247 10.247 10.247
angles: 109.47 109.47 109.47
Sites, in units of the cell vectors:
Y (0.238, 0.750, 0.262)
Y (0.238, 0.988, 0.976)
Y (0.262, 0.238, 0.750)
Y (0.262, 0.524, 0.512)
Y (0.512, 0.262, 0.524)
Y (0.512, 0.750, 0.988)
Y (0.524, 0.512, 0.262)
Y (0.750, 0.262, 0.238)
Y (0.750, 0.988, 0.512)
Y (0.976, 0.238, 0.988)
Y (0.988, 0.512, 0.750)
Y (0.988, 0.976, 0.238)
Te (0.000, 0.250, 0.500)
Te (0.250, 0.250, 0.250)
Te (0.250, 0.500, 0.000)
Te (0.500, 0.000, 0.250)
Se (0.005, 0.009, 0.755)
Se (0.005, 0.495, 0.250)
Se (0.009, 0.755, 0.005)
Se (0.250, 0.005, 0.495)
Se (0.250, 0.745, 0.755)
Se (0.491, 0.495, 0.745)
Se (0.495, 0.250, 0.005)
Se (0.495, 0.745, 0.491)
Se (0.745, 0.491, 0.495)
Se (0.745, 0.755, 0.250)
Se (0.755, 0.005, 0.009)
Se (0.755, 0.250, 0.745)


Calculated powder XRD pattern
Compound: Zn4TeSe3
Radiation: Cu Kα (λ = 1.5418 Å)
Structure: a cell relaxed with GGA-PBE
Peak positions follow from Bragg's law for the DFT cell and can differ from measured ones.

Most intense lines, 2θ from 5° to 70°, sorted by position:
d 13.511, intensity 2
d 4.504, intensity 1
d 3.570, intensity 1
d 3.378, intensity 100
d 2.926, intensity 1
d 2.352, intensity 2
d 2.069, intensity 73
d 1.985, intensity 1
d 1.764, intensity 44
d 1.463, intensity 11

Crystal structure
abc: 13.721 13.721 13.721
angles: 17.35 17.35 17.35
Sites, in units of the cell vectors:
Zn (0.000, 0.000, 0.000)
Zn (0.242, 0.242, 0.242)
Zn (0.495, 0.495, 0.495)
Zn (0.748, 0.748, 0.748)
Te (0.934, 0.934, 0.934)
Se (0.181, 0.181, 0.181)
Se (0.434, 0.434, 0.434)
Se (0.686, 0.686, 0.686)


Calculated powder XRD pattern
Compound: Zr3Te4Se2
Radiation: Cu Kα (λ = 1.5418 Å)
Structure: a cell relaxed with GGA-PBE
Peak positions follow from Bragg's law for the DFT cell and can differ from measured ones.

Most intense lines, 2θ from 5° to 70°, sorted by position:
d 7.455, intensity 42
d 3.337, intensity 59
d 3.046, intensity 11
d 2.675, intensity 100
d 2.486, intensity 22
d 2.143, intensity 37
d 1.926, intensity 40
d 1.865, intensity 10
d 1.563, intensity 19
d 1.433, intensity 10

Crystal structure
abc: 3.853 3.853 22.364
angles: 90.00 90.00 120.00
Sites, in units of the cell vectors:
Zr (0.000, 0.000, 0.000)
Zr (0.333, 0.667, 0.318)
Zr (0.333, 0.667, 0.682)
Te (0.000, 0.000, 0.234)
Te (0.000, 0.000, 0.403)
Te (0.000, 0.000, 0.597)
Te (0.000, 0.000, 0.766)
Se (0.333, 0.667, 0.074)
Se (0.333, 0.667, 0.926)


Calculated powder XRD pattern
Compound: Th3Se5
Radiation: Cu Kα (λ = 1.5418 Å)
Structure: a cell relaxed with GGA-PBE
Peak positions follow from Bragg's law for the DFT cell and can differ from measured ones.

Most intense lines, 2θ from 5° to 70°, sorted by position:
d 4.159, intensity 75
d 3.478, intensity 37
d 2.992, intensity 52
d 2.745, intensity 100
d 2.602, intensity 30
d 2.587, intensity 42
d 2.500, intensity 45
d 2.454, intensity 34
d 2.360, intensity 33
d 2.311, intensity 59

Crystal structure
abc: 8.656 8.656 7.989
angles: 95.71 95.71 132.59
Sites, in units of the cell vectors:
Th (0.157, 0.843, 0.000)
Th (0.246, 0.754, 0.500)
Th (0.440, 0.440, 0.703)
Th (0.560, 0.560, 0.297)
Th (0.754, 0.246, 0.500)
Th (0.843, 0.157, 0.000)
Se (0.123, 0.335, 0.375)
Se (0.140, 0.514, 0.800)
Se (0.231, 0.231, 0.978)
Se (0.335, 0.123, 0.375)
Se (0.486, 0.860, 0.200)
Se (0.514, 0.140, 0.800)
Se (0.665, 0.877, 0.625)
Se (0.769, 0.769, 0.022)
Se (0.860, 0.486, 0.200)
Se (0.877, 0.665, 0.625)


Calculated powder XRD pattern
Compound: Th3Se5
Radiation: Cu Kα (λ = 1.5418 Å)
Structure: a cell relaxed with GGA-PBE
Peak positions follow from Bragg's law for the DFT cell and can differ from measured ones.

Most intense lines, 2θ from 5° to 70°, sorted by position:
d 7.352, intensity 29
d 3.596, intensity 64
d 3.383, intensity 50
d 2.645, intensity 83
d 2.570, intensity 100
d 2.489, intensity 27
d 2.451, intensity 50
d 1.952, intensity 50
d 1.751, intensity 32
d 1.348, intensity 23

Crystal structure
abc: 8.489 8.489 6.766
angles: 90.00 90.00 120.00
Sites, in units of the cell vectors:
Th (0.000, 0.395, 0.250)
Th (0.000, 0.605, 0.750)
Th (0.395, 0.000, 0.250)
Th (0.395, 0.395, 0.750)
Th (0.605, 0.000, 0.750)
Th (0.605, 0.605, 0.250)
Se (0.000, 0.256, 0.750)
Se (0.000, 0.744, 0.250)
Se (0.256, 0.000, 0.750)
Se (0.256, 0.256, 0.250)
Se (0.333, 0.667, 0.000)
Se (0.333, 0.667, 0.500)
Se (0.667, 0.333, 0.000)
Se (0.667, 0.333, 0.500)
Se (0.744, 0.000, 0.250)
Se (0.744, 0.744, 0.750)


Calculated powder XRD pattern
Compound: Th3Se4
Radiation: Cu Kα (λ = 1.5418 Å)
Structure: a cell relaxed with GGA-PBE
Peak positions follow from Bragg's law for the DFT cell and can differ from measured ones.

Most intense lines, 2θ from 5° to 70°, sorted by position:
d 13.835, intensity 52
d 6.918, intensity 14
d 3.637, intensity 9
d 3.444, intensity 17
d 2.986, intensity 100
d 2.115, intensity 38
d 2.108, intensity 38
d 1.799, intensity 9
d 1.722, intensity 20
d 1.493, intensity 13

Crystal structure
abc: 14.048 14.048 14.048
angles: 17.26 17.26 17.26
Sites, in units of the cell vectors:
Th (0.000, 0.000, 0.000)
Th (0.250, 0.250, 0.250)
Th (0.750, 0.750, 0.750)
Se (0.123, 0.123, 0.123)
Se (0.375, 0.375, 0.375)
Se (0.625, 0.625, 0.625)
Se (0.877, 0.877, 0.877)